Theoretical powder X-ray diffraction pattern of Y3Cd2Hg for Cu Kα (λ = 1.5418 Å), from a structure optimized by DFT (GGA-PBE).
No peak broadening, texture or thermal motion is included.

Atomic structure:
```
data_Y3Cd2Hg
_cell_length_a 5.2841
_cell_length_b 5.2841
_cell_length_c 6.4981
_cell_angle_alpha 90.00
_cell_angle_beta 90.00
_cell_angle_gamma 120.00
_space_group_name_H-M_alt 'P -3 m 1'
_space_group_IT_number 164
_space_group_name_Hall '-P 3 2"'
loop_
_atom_site_label
_atom_site_fract_x
_atom_site_fract_y
_atom_site_fract_z
Y1 0.0000 0.0000 0.0000
Y2 0.3333 0.6667 0.6610
Cd1 0.3333 0.6667 0.1549
Hg1 0.0000 0.0000 0.5000
```

Most intense lines, 2θ = 5–70°, low angle first:
2theta  I_rel  h k l
19.4  3  1 0 0
23.8  8  1 0 1
33.9  100  1 1 0
48.7  18  2 0 2
60.5  9  1 0 4
60.7  27  3 0 0

Theoretical powder X-ray diffraction pattern of YCd7Hg12 for Cu Kα (λ = 1.5418 Å), from a structure optimized by DFT (GGA-PBE).
No peak broadening, texture or thermal motion is included.

Atomic structure:
```
data_YCd7Hg12
_cell_length_a 13.1729
_cell_length_b 13.1729
_cell_length_c 10.4271
_cell_angle_alpha 90.00
_cell_angle_beta 90.00
_cell_angle_gamma 120.00
_space_group_name_H-M_alt 'R -3'
_space_group_IT_number 148
_space_group_name_Hall '-R 3'
loop_
_atom_site_label
_atom_site_fract_x
_atom_site_fract_y
_atom_site_fract_z
Y1 0.0000 0.0000 0.0000
Cd1 0.0000 0.0000 0.5000
Cd2 0.0113 0.1479 0.7477
Hg1 0.0480 0.2539 0.4276
Hg2 0.0560 0.7966 0.9638
```

Most intense lines, 2θ = 5–70°, low angle first:
2theta  I_rel  h k l
26.8  26  3 -2 2
29.0  57  1 1 3
29.5  25  1 3 1
33.1  29  3 1 2
35.4  100  3 2 1
35.9  27  0 4 2

Theoretical powder X-ray diffraction pattern of Y4Cd3Hg for Cu Kα (λ = 1.5418 Å), from a structure optimized by DFT (GGA-PBE).
No peak broadening, texture or thermal motion is included.

Atomic structure:
```
data_Y4Cd3Hg
_cell_length_a 3.7467
_cell_length_b 3.7467
_cell_length_c 14.9742
_cell_angle_alpha 90.00
_cell_angle_beta 90.00
_cell_angle_gamma 90.00
_space_group_name_H-M_alt 'P 4/m m m'
_space_group_IT_number 123
_space_group_name_Hall '-P 4 2'
loop_
_atom_site_label
_atom_site_fract_x
_atom_site_fract_y
_atom_site_fract_z
Y1 0.0000 0.0000 0.1231
Y2 0.0000 0.0000 0.3744
Cd1 0.5000 0.5000 0.2504
Cd2 0.5000 0.5000 0.5000
Hg1 0.5000 0.5000 0.0000
```

Most intense lines, 2θ = 5–70°, low angle first:
2theta  I_rel  h k l
5.9  7  0 0 1
23.8  5  0 0 4
33.8  100  1 1 0
48.6  18  2 0 0
54.8  2  1 0 8
60.5  36  2 1 4

Theoretical powder X-ray diffraction pattern of ZnCdHg for Cu Kα (λ = 1.5418 Å), from a structure optimized by DFT (GGA-PBE).
No peak broadening, texture or thermal motion is included.

Atomic structure:
```
data_ZnCdHg
_cell_length_a 3.4910
_cell_length_b 3.5478
_cell_length_c 10.6588
_cell_angle_alpha 80.76
_cell_angle_beta 86.18
_cell_angle_gamma 84.42
_space_group_name_H-M_alt 'P 1'
_space_group_IT_number 1
loop_
_space_group_symop_operation_xyz
'x,y,z'
loop_
_atom_site_label
_atom_site_fract_x
_atom_site_fract_y
_atom_site_fract_z
Zn1 0.0000 0.0000 0.0000
Zn2 0.4925 0.5047 0.8805
Cd1 0.4921 0.5104 0.5352
Cd2 0.9972 0.9903 0.3446
Hg1 0.5048 0.4995 0.1589
Hg2 0.9865 0.0048 0.7216
```

Most intense lines, 2θ = 5–70°, low angle first:
2theta  I_rel  h k l
33.3  86  0 1 3
34.8  100  1 1 0
35.5  78  1 0 3
37.4  62  1 0 -3
38.2  78  1 -1 0
39.2  58  0 1 -3

Theoretical powder X-ray diffraction pattern of ZnCd2Hg for Cu Kα (λ = 1.5418 Å), from a structure optimized by DFT (GGA-PBE).
No peak broadening, texture or thermal motion is included.

Atomic structure:
```
data_ZnCd2Hg
_cell_length_a 5.6844
_cell_length_b 10.8900
_cell_length_c 3.2586
_cell_angle_alpha 90.00
_cell_angle_beta 118.95
_cell_angle_gamma 90.00
_space_group_name_H-M_alt 'C 1 2/m 1'
_space_group_IT_number 12
loop_
_space_group_symop_operation_xyz
'x,y,z'
'-x,-y,-z'
'-x,y,-z'
'x,-y,z'
'x+1/2,y+1/2,z'
'-x+1/2,-y+1/2,-z'
'-x+1/2,y+1/2,-z'
'x+1/2,-y+1/2,z'
loop_
_atom_site_label
_atom_site_fract_x
_atom_site_fract_y
_atom_site_fract_z
Zn1 0.0000 0.0000 0.0000
Cd1 0.2500 0.2500 0.0000
Hg1 0.0000 0.5000 0.0000
```

Most intense lines, 2θ = 5–70°, low angle first:
2theta  I_rel  h k l
19.6  34  1 1 0
31.4  86  0 0 1
32.9  76  0 4 0
38.4  100  2 2 -1
39.8  90  2 2 0
46.1  59  0 4 1

Theoretical powder X-ray diffraction pattern of ZnCd2Hg7 for Cu Kα (λ = 1.5418 Å), from a structure optimized by DFT (GGA-PBE).
No peak broadening, texture or thermal motion is included.

Atomic structure:
```
data_ZnCd2Hg7
_cell_length_a 16.1420
_cell_length_b 7.4747
_cell_length_c 11.5515
_cell_angle_alpha 90.00
_cell_angle_beta 132.99
_cell_angle_gamma 90.00
_space_group_name_H-M_alt 'C 1 2/c 1'
_space_group_IT_number 15
loop_
_space_group_symop_operation_xyz
'x,y,z'
'-x,-y,-z'
'-x,y,-z+1/2'
'x,-y,z+1/2'
'x+1/2,y+1/2,z'
'-x+1/2,-y+1/2,-z'
'-x+1/2,y+1/2,-z+1/2'
'x+1/2,-y+1/2,z+1/2'
loop_
_atom_site_label
_atom_site_fract_x
_atom_site_fract_y
_atom_site_fract_z
Zn1 0.0000 0.1678 0.2500
Cd1 0.1865 0.1966 0.1057
Hg1 0.0000 0.2138 0.7500
Hg2 0.0895 0.1774 0.5622
Hg3 0.0975 0.4545 0.2147
Hg4 0.2278 0.0539 0.4066
```

Most intense lines, 2θ = 5–70°, low angle first:
2theta  I_rel  h k l
29.4  53  1 1 2
30.5  58  5 1 -2
30.7  72  5 1 -3
32.7  88  4 2 -2
33.8  100  3 1 -4
36.9  80  1 3 0

Theoretical powder X-ray diffraction pattern of ZnCd7Hg6 for Cu Kα (λ = 1.5418 Å), from a structure optimized by DFT (GGA-PBE).
No peak broadening, texture or thermal motion is included.

Atomic structure:
```
data_ZnCd7Hg6
_cell_length_a 6.1283
_cell_length_b 19.3715
_cell_length_c 11.6119
_cell_angle_alpha 90.00
_cell_angle_beta 90.00
_cell_angle_gamma 90.00
_space_group_name_H-M_alt 'I b a m'
_space_group_IT_number 72
_space_group_name_Hall '-I 2 2c'
loop_
_atom_site_label
_atom_site_fract_x
_atom_site_fract_y
_atom_site_fract_z
Zn1 0.0000 0.0000 0.2500
Cd1 0.0000 0.5000 0.2500
Cd2 0.1162 0.2356 0.1293
Cd3 0.2372 0.0085 0.5000
Hg1 0.1120 0.3679 0.5000
Hg2 0.2247 0.1219 0.3189
```

Most intense lines, 2θ = 5–70°, low angle first:
2theta  I_rel  h k l
28.8  100  1 2 3
32.2  29  0 2 4
33.3  30  2 3 1
37.1  52  0 8 0
38.1  50  2 4 2
39.2  71  1 6 3

Theoretical powder X-ray diffraction pattern of Zn2Cd8Hg3 for Cu Kα (λ = 1.5418 Å), from a structure optimized by DFT (GGA-PBE).
No peak broadening, texture or thermal motion is included.

Atomic structure:
```
data_Zn2Cd8Hg3
_cell_length_a 9.2364
_cell_length_b 14.8794
_cell_length_c 4.4799
_cell_angle_alpha 90.00
_cell_angle_beta 90.00
_cell_angle_gamma 90.00
_space_group_name_H-M_alt 'C m m m'
_space_group_IT_number 65
_space_group_name_Hall '-C 2 2'
loop_
_atom_site_label
_atom_site_fract_x
_atom_site_fract_y
_atom_site_fract_z
Zn1 0.0000 0.2449 0.0000
Cd1 0.0000 0.1336 0.5000
Cd2 0.0000 0.3532 0.5000
Cd3 0.2499 0.1436 0.0000
Hg1 0.0000 0.5000 0.0000
Hg2 0.2396 0.0000 0.5000
```

Most intense lines, 2θ = 5–70°, low angle first:
2theta  I_rel  h k l
30.3  29  2 2 1
37.0  100  2 4 1
39.0  24  4 0 0
40.3  22  0 0 2
57.3  15  4 0 2
69.7  15  2 10 1

Theoretical powder X-ray diffraction pattern of ZnCd3Hg for Cu Kα (λ = 1.5418 Å), from a structure optimized by DFT (GGA-PBE).
No peak broadening, texture or thermal motion is included.

Atomic structure:
```
data_ZnCd3Hg
_cell_length_a 10.6471
_cell_length_b 6.2933
_cell_length_c 6.9819
_cell_angle_alpha 90.00
_cell_angle_beta 111.38
_cell_angle_gamma 90.00
_space_group_name_H-M_alt 'C 1 2/m 1'
_space_group_IT_number 12
loop_
_space_group_symop_operation_xyz
'x,y,z'
'-x,-y,-z'
'-x,y,-z'
'x,-y,z'
'x+1/2,y+1/2,z'
'-x+1/2,-y+1/2,-z'
'-x+1/2,y+1/2,-z'
'x+1/2,-y+1/2,z'
loop_
_atom_site_label
_atom_site_fract_x
_atom_site_fract_y
_atom_site_fract_z
Zn1 0.2461 0.0000 0.0008
Cd1 0.0564 0.0000 0.2237
Cd2 0.1592 0.2477 0.6354
Hg1 0.0540 0.5000 0.2262
```

Most intense lines, 2θ = 5–70°, low angle first:
2theta  I_rel  h k l
31.6  34  0 2 1
33.7  100  4 0 -1
38.2  42  2 0 2
38.8  40  2 0 -3
39.1  52  2 2 1
39.4  53  2 2 -2

Theoretical powder X-ray diffraction pattern of ZnCd12Hg2 for Cu Kα (λ = 1.5418 Å), from a structure optimized by DFT (GGA-PBE).
No peak broadening, texture or thermal motion is included.

Atomic structure:
```
data_ZnCd12Hg2
_cell_length_a 6.0365
_cell_length_b 6.0365
_cell_length_c 20.3536
_cell_angle_alpha 90.00
_cell_angle_beta 90.00
_cell_angle_gamma 90.00
_space_group_name_H-M_alt 'P 4/n b m'
_space_group_IT_number 125
loop_
_space_group_symop_operation_xyz
'x,y,z'
'-x,-y,-z'
'-y+1/2,x,z'
'y+1/2,-x,-z'
'-x+1/2,-y+1/2,z'
'x+1/2,y+1/2,-z'
'y,-x+1/2,z'
'-y,x+1/2,-z'
'x,-y+1/2,-z'
'-x,y+1/2,z'
'-y+1/2,-x+1/2,-z'
'y+1/2,x+1/2,z'
'-x+1/2,y,-z'
'x+1/2,-y,z'
'y,x,-z'
'-y,-x,z'
loop_
_atom_site_label
_atom_site_fract_x
_atom_site_fract_y
_atom_site_fract_z
Zn1 0.2500 0.7500 0.0000
Cd1 0.0001 0.9999 0.0876
Cd2 0.0748 0.5748 0.4334
Cd3 0.2500 0.2500 0.1943
Cd4 0.2500 0.2500 0.3308
Hg1 0.2500 0.7500 0.2411
```

Most intense lines, 2θ = 5–70°, low angle first:
2theta  I_rel  h k l
27.3  35  1 1 4
30.9  100  2 0 2
33.8  41  1 1 6
34.6  35  2 0 4
40.0  32  2 0 6
42.3  49  2 2 0